Entry 1:
Diffraction record for Cs2CoO2. The powder XRD pattern is simulated, not measured: it uses a GGA+U-relaxed structure and Cu Kα (weighted mean of Kα1 and Kα2).

Cell and atoms:
Cell: 7.254 7.254 8.791 Å, 125.14 125.14 48.78°
Fractional coordinates of all 10 atoms:
Cs  0.067  0.067  0.300
Cs  0.321  0.321  0.928
Cs  0.679  0.679  0.072
Cs  0.933  0.933  0.700
Co  0.376  0.376  0.361
Co  0.624  0.624  0.639
O  0.209  0.209  0.146
O  0.477  0.477  0.636
O  0.523  0.523  0.364
O  0.791  0.791  0.854

Main lines, in order of falling intensity (2θ = 10–80°):
2theta  I_rel
26.34  100
25.33  79
29.83  64
50.71  34
30.14  32
32.16  30
44.44  30
27.63  30
27.32  24
41.11  20

Entry 2:
Diffraction record for LiVPO5. The powder XRD pattern is simulated, not measured: it uses a GGA+U-relaxed structure and Cu Kα (weighted mean of Kα1 and Kα2).

Cell and atoms:
Cell: 4.546 6.363 6.363 Å, 88.34 90.00 90.00°
Fractional coordinates of all 16 atoms:
Li  0.016  0.250  0.750
Li  0.984  0.750  0.250
V  0.418  0.512  0.012
V  0.582  0.012  0.512
P  0.500  0.011  0.011
P  0.500  0.511  0.511
O  0.220  0.020  0.520
O  0.296  0.516  0.316
O  0.296  0.816  0.016
O  0.299  0.209  0.006
O  0.299  0.506  0.709
O  0.701  0.006  0.209
O  0.701  0.709  0.506
O  0.704  0.016  0.816
O  0.704  0.316  0.516
O  0.780  0.520  0.020

Main lines, in order of falling intensity (2θ = 10–80°):
2theta  I_rel
28.06  100
19.53  97
34.42  68
24.06  26
42.22  22
58.00  20
47.31  17
61.83  13
45.50  12
59.63  12